Diffraction record for Li2Si3NiO8. The powder diffractogram is theoretical, not measured: it uses a cell relaxed with PBE+U and CuKα.
Peak positions follow from Bragg's law for the DFT cell and can differ from measured ones.

Crystal structure
a = 4.9770 Å, b = 9.9483 Å, c = 6.9427 Å
α = 90.00°, β = 90.20°, γ = 90.00°
Fractional coordinates of all 28 atoms:
1 Li 0.0553 0.0000 0.2473
2 Li 0.4094 0.7116 0.2520
3 Li 0.5906 0.2116 0.7480
4 Li 0.9447 0.5000 0.7527
5 Si 0.0294 0.2764 0.0308
6 Si 0.4119 0.4580 0.4721
7 Si 0.4610 0.6960 0.7237
8 Si 0.5390 0.1960 0.2763
9 Si 0.5881 0.9580 0.5279
10 Si 0.9706 0.7764 0.9692
11 Ni 0.0751 0.0333 0.7447
12 Ni 0.9249 0.5333 0.2553
13 O 0.0300 0.9345 0.9835
14 O 0.0328 0.7128 0.1778
15 O 0.0910 0.4662 0.4985
16 O 0.1481 0.6977 0.7960
17 O 0.3452 0.2418 0.0983
18 O 0.4552 0.0388 0.3327
19 O 0.4699 0.0330 0.7143
20 O 0.4894 0.7947 0.5294
21 O 0.5106 0.2947 0.4706
22 O 0.5301 0.5330 0.2857
23 O 0.5448 0.5388 0.6673
24 O 0.6548 0.7418 0.9017
25 O 0.8519 0.1977 0.2040
26 O 0.9090 0.9662 0.5015
27 O 0.9672 0.2128 0.8222
28 O 0.9700 0.4345 0.0165

Most intense lines, 10° ≤ 2θ ≤ 90°, in order of rising 2θ:
| Position (°2θ) | Rel. int. | index |
| --- | --- | --- |
| 15.56 | 64 | 0 1 1 |
| 21.99 | 100 | 1 0 1 |
| 23.73 | 60 | 1 1 -1 |
| 29.86 | 27 | 0 3 1 |
| 31.43 | 40 | 0 2 2 |
| 36.10 | 52 | 2 0 0 |